1.
Structure and calculated X-ray diffraction stick pattern of Fe11Co5 (a crystal structure in OQMD, relaxed with GGA-PBE; Cu Kα).

Top 3 peaks for 15 to 90 degrees two-theta, by intensity:
(2 2 0), 2θ 45.22, intensity 100
(4 2 2), 2θ 83.51, intensity 29
(4 0 0), 2θ 65.87, intensity 15

Atomic structure:
```
data_Fe11Co5
_chemical_formula_sum 'Fe11 Co5'
_space_group_name_H-M_alt 'P 4/m m m'
_space_group_IT_number 123
_space_group_name_Hall '-P 4 2'
_cell_length_a 5.6725
_cell_length_b 5.6725
_cell_length_c 5.6695
_cell_angle_alpha 90.00
_cell_angle_beta 90.00
_cell_angle_gamma 90.00
loop_
_atom_site_label
_atom_site_type_symbol
_atom_site_fract_x
_atom_site_fract_y
_atom_site_fract_z
Fe1 Fe 0.0000 0.0000 0.0000
Fe2 Fe 0.0000 0.0000 0.5000
Fe3 Fe 0.2501 0.2501 0.2500
Fe4 Fe 0.5000 0.5000 0.0000
Co1 Co 0.0000 0.5000 0.0000
Co2 Co 0.0000 0.5000 0.5000
Co3 Co 0.5000 0.5000 0.5000
```

***

2.
Structure and calculated X-ray diffraction stick pattern of Fe8Co (a crystal structure in OQMD, relaxed with GGA-PBE; Cu Kα).

Top 8 peaks for 15 to 90 degrees two-theta, by intensity:
(2 2 0), 2θ 47.67, intensity 100
(2 0 1), 2θ 47.37, intensity 64
(2 0 0), 2θ 26.98, intensity 55
(2 2 1), 2θ 62.64, intensity 48
(0 0 1), 2θ 38.17, intensity 39
(4 0 1), 2θ 69.47, intensity 18
(4 2 1), 2θ 88.62, intensity 18
(6 0 0), 2θ 88.84, intensity 14

Atomic structure:
```
data_Fe8Co
_chemical_formula_sum 'Fe8 Co1'
_space_group_name_H-M_alt 'P 6/m m m'
_space_group_IT_number 191
_space_group_name_Hall '-P 6 2'
_cell_length_a 7.6308
_cell_length_b 7.6308
_cell_length_c 2.3578
_cell_angle_alpha 90.00
_cell_angle_beta 90.00
_cell_angle_gamma 120.00
loop_
_atom_site_label
_atom_site_type_symbol
_atom_site_fract_x
_atom_site_fract_y
_atom_site_fract_z
Fe1 Fe 0.1698 0.3397 0.0000
Fe2 Fe 0.3333 0.6667 0.0000
Co1 Co 0.0000 0.0000 0.5000
```